[1]
Structure and calculated X-ray diffraction stick pattern of Rb4ZnF5 (a structure optimized by DFT (PBE); Cu Kα (λ = 1.5418 Å)).

Structure:
Unit cell a=6.803 b=6.803 c=6.803 alpha=100.43 beta=100.43 gamma=129.64
Atoms (fractional coordinates):
Rb  0.099  0.293  0.392
Rb  0.293  0.901  0.194
Rb  0.707  0.099  0.806
Rb  0.901  0.707  0.608
Zn  0.498  0.498  0.000
F  0.217  0.588  0.808
F  0.410  0.217  0.629
F  0.588  0.780  0.371
F  0.780  0.410  0.192
F  0.839  0.839  0.000

The 6 most intense peaks (5 to 70 degrees two-theta), by intensity:
- 2θ = 27.61°, I 100
- 2θ = 32.52°, I 81
- 2θ = 45.47°, I 55
- 2θ = 30.89°, I 42
- 2θ = 55.07°, I 31
- 2θ = 46.65°, I 27



[2]
Structure and calculated X-ray diffraction stick pattern of Tb6Nd2Y3 (a structure optimized by DFT (PBE); Cu Kα (λ = 1.5418 Å)).

Structure:
Unit cell a=16.992 b=16.992 c=16.992 alpha=163.86 beta=163.86 gamma=22.90
Atoms (fractional coordinates):
Tb  0.121  0.621  0.500
Tb  0.194  0.194  0.000
Tb  0.379  0.879  0.500
Tb  0.621  0.121  0.500
Tb  0.806  0.806  0.000
Tb  0.879  0.379  0.500
Nd  0.046  0.046  0.000
Nd  0.954  0.954  0.000
Y  0.298  0.298  0.000
Y  0.500  0.500  0.000
Y  0.702  0.702  0.000

The 6 most intense peaks (5 to 70 degrees two-theta), by intensity:
- 2θ = 28.55°, I 100
- 2θ = 34.21°, I 92
- 2θ = 37.72°, I 61
- 2θ = 50.45°, I 28
- 2θ = 65.86°, I 27
- 2θ = 32.25°, I 24



[3]
Structure and calculated X-ray diffraction stick pattern of Ce5PrGa6 (a structure optimized by DFT (PBE); Cu Kα (λ = 1.5418 Å)).

Structure:
Unit cell a=8.547 b=8.547 c=8.547 alpha=148.28 beta=120.24 gamma=69.25
Atoms (fractional coordinates):
Ce  0.000  0.000  0.000
Ce  0.168  0.668  0.500
Ce  0.325  0.325  0.000
Ce  0.675  0.675  0.000
Ce  0.832  0.332  0.500
Pr  0.500  0.000  0.500
Ga  0.084  0.834  0.250
Ga  0.249  0.500  0.749
Ga  0.416  0.166  0.250
Ga  0.584  0.834  0.750
Ga  0.751  0.500  0.251
Ga  0.916  0.166  0.750

The 6 most intense peaks (5 to 70 degrees two-theta), by intensity:
- 2θ = 34.32°, I 100
- 2θ = 38.55°, I 18
- 2θ = 38.39°, I 18
- 2θ = 67.04°, I 14
- 2θ = 42.46°, I 14
- 2θ = 66.83°, I 14



[4]
Structure and calculated X-ray diffraction stick pattern of Ac9Tc2Br14 (a structure optimized by DFT (PBE); Cu Kα (λ = 1.5418 Å)).

Structure:
Unit cell a=9.236 b=9.236 c=12.672 alpha=90.00 beta=90.00 gamma=120.00
Atoms (fractional coordinates):
Ac  0.000  0.000  0.000
Ac  0.085  0.380  0.334
Ac  0.294  0.915  0.334
Ac  0.333  0.667  0.052
Ac  0.380  0.294  0.666
Ac  0.620  0.706  0.334
Ac  0.667  0.333  0.948
Ac  0.706  0.085  0.666
Ac  0.915  0.620  0.666
Tc  0.333  0.667  0.272
Tc  0.667  0.333  0.728
Br  0.000  0.000  0.252
Br  0.000  0.000  0.748
Br  0.044  0.690  0.913
Br  0.083  0.388  0.593
Br  0.306  0.917  0.593
Br  0.310  0.354  0.913
Br  0.354  0.044  0.087
Br  0.388  0.306  0.407
Br  0.612  0.694  0.593
Br  0.646  0.956  0.913
Br  0.690  0.646  0.087
Br  0.694  0.083  0.407
Br  0.917  0.612  0.407
Br  0.956  0.310  0.087

The 6 most intense peaks (5 to 70 degrees two-theta), by intensity:
- 2θ = 20.47°, I 100
- 2θ = 34.33°, I 74
- 2θ = 30.38°, I 57
- 2θ = 33.62°, I 56
- 2θ = 13.09°, I 50
- 2θ = 21.03°, I 44



[5]
Structure and calculated X-ray diffraction stick pattern of LiCu5Pd (a structure optimized by DFT (PBE); Cu Kα (λ = 1.5418 Å)).

Structure:
Unit cell a=4.638 b=4.638 c=9.707 alpha=90.00 beta=90.00 gamma=65.43
Atoms (fractional coordinates):
Li  0.147  0.853  0.750
Li  0.853  0.147  0.250
Cu  0.077  0.366  0.617
Cu  0.077  0.366  0.883
Cu  0.366  0.077  0.117
Cu  0.366  0.077  0.383
Cu  0.377  0.623  0.250
Cu  0.623  0.377  0.750
Cu  0.634  0.923  0.617
Cu  0.634  0.923  0.883
Cu  0.923  0.634  0.117
Cu  0.923  0.634  0.383
Pd  0.500  0.500  0.000
Pd  0.500  0.500  0.500

The 6 most intense peaks (5 to 70 degrees two-theta), by intensity:
- 2θ = 43.93°, I 100
- 2θ = 21.06°, I 36
- 2θ = 39.00°, I 27
- 2θ = 45.79°, I 24
- 2θ = 43.00°, I 24
- 2θ = 46.54°, I 21



[6]
Structure and calculated X-ray diffraction stick pattern of KNa5Cl6 (a structure optimized by DFT (PBE); Cu Kα (λ = 1.5418 Å)).

Structure:
Unit cell a=7.347 b=7.347 c=13.667 alpha=90.00 beta=90.00 gamma=120.00
Atoms (fractional coordinates):
K  0.000  0.000  0.250
K  0.000  0.000  0.750
Na  0.000  0.400  0.250
Na  0.000  0.600  0.750
Na  0.333  0.667  0.000
Na  0.333  0.667  0.500
Na  0.400  0.000  0.250
Na  0.400  0.400  0.750
Na  0.600  0.000  0.750
Na  0.600  0.600  0.250
Na  0.667  0.333  0.000
Na  0.667  0.333  0.500
Cl  0.000  0.339  0.620
Cl  0.000  0.339  0.880
Cl  0.000  0.661  0.120
Cl  0.000  0.661  0.380
Cl  0.339  0.000  0.620
Cl  0.339  0.000  0.880
Cl  0.339  0.339  0.120
Cl  0.339  0.339  0.380
Cl  0.661  0.000  0.120
Cl  0.661  0.000  0.380
Cl  0.661  0.661  0.620
Cl  0.661  0.661  0.880

The 6 most intense peaks (5 to 70 degrees two-theta), by intensity:
- 2θ = 31.28°, I 100
- 2θ = 42.63°, I 59
- 2θ = 35.89°, I 46
- 2θ = 25.10°, I 29
- 2θ = 31.01°, I 29
- 2θ = 41.16°, I 28